Entry 1:
Diffraction record for Nb4Sb3W2N3. The X-ray diffraction stick pattern is calculated, not measured: it uses a cell relaxed with GGA-PBE and λ = 1.5418 Å (Cu Kα).

Top 12 peaks for 5° ≤ 2θ ≤ 70°, in order of rising 2θ:
d [Å], 2theta, intensity, hkl
4.976, 17.83, 5.2, 1 1 0
4.855, 18.27, 3.2, 2 0 0
3.710, 23.99, 1.4, 1 1 2
3.476, 25.63, 1.6, 2 0 2
2.897, 30.86, 24.1, 0 2 0
2.401, 37.46, 100.0, 3 1 2
2.145, 42.14, 14.8, 0 0 6
1.724, 53.11, 9.0, 0 2 6
1.722, 53.19, 4.5, 3 1 5
1.673, 54.89, 23.1, 6 0 -2
1.449, 64.31, 3.0, 0 4 0
1.372, 68.35, 16.6, 6 2 1

Atomic structure:
Lattice parameters (Å, degrees): 10.0350 5.7951 13.3017 90.00 104.69 90.00
Space group C2/c (No. 15)
One atom of each set of equivalent atoms:
Nb 0.1103 0.0882 0.0830 (multiplicity 8)
Nb 0.2244 0.0788 0.4171 (multiplicity 8)
Sb 0.0000 0.0923 0.7500 (multiplicity 4)
Sb 0.1625 0.4204 0.2504 (multiplicity 8)
W 0.0539 0.4172 0.9212 (multiplicity 8)
N 0.0829 0.2544 0.4995 (multiplicity 8)
N 0.2500 0.2500 0.0000 (multiplicity 4)

=====

Entry 2:
Diffraction record for Y4Nb2Sb3N3. The X-ray diffraction stick pattern is calculated, not measured: it uses a cell relaxed with GGA-PBE and λ = 1.5418 Å (Cu Kα).

Top 12 peaks for 5° ≤ 2θ ≤ 70°, in order of rising 2θ:
d [Å], 2theta, intensity, hkl
3.066, 29.12, 11.9, 0 2 0
3.052, 29.27, 22.5, 3 1 -1
2.559, 35.07, 50.0, 0 2 3
2.550, 35.19, 100.0, 3 1 2
2.322, 38.78, 22.9, 0 0 6
1.850, 49.25, 14.1, 0 2 6
1.767, 51.72, 22.2, 3 3 -1
1.759, 51.99, 10.8, 6 0 -2
1.456, 63.95, 7.8, 0 4 3
1.450, 64.26, 14.8, 6 2 1
1.406, 66.48, 16.2, 3 3 -7
1.382, 67.83, 12.3, 3 1 8

Atomic structure:
Lattice parameters (Å, degrees): 10.5541 6.1321 14.3644 90.00 104.08 90.00
Space group C2/c (No. 15)
One atom of each set of equivalent atoms:
Y 0.1147 0.0828 0.0922 (multiplicity 8)
Y 0.2184 0.0823 0.4078 (multiplicity 8)
Nb 0.0550 0.4198 0.9244 (multiplicity 8)
Sb 0.0000 0.1199 0.7500 (multiplicity 4)
Sb 0.1491 0.4338 0.2492 (multiplicity 8)
N 0.0819 0.2544 0.5000 (multiplicity 8)
N 0.2500 0.2500 0.0000 (multiplicity 4)

=====

Entry 3:
Diffraction record for Sc4Nb2Zn3N3. The X-ray diffraction stick pattern is calculated, not measured: it uses a cell relaxed with GGA-PBE and λ = 1.5418 Å (Cu Kα).

Top 12 peaks for 5° ≤ 2θ ≤ 70°, in order of rising 2θ:
d [Å], 2theta, intensity, hkl
4.764, 18.63, 18.3, 1 1 0
4.662, 19.04, 12.9, 2 0 0
2.772, 32.29, 9.7, 0 2 0
2.764, 32.39, 19.6, 3 1 -1
2.377, 37.85, 100.0, 0 2 3
2.367, 38.01, 49.0, 3 1 2
2.310, 38.98, 27.9, 0 0 6
1.775, 51.47, 17.4, 3 1 -7
1.769, 51.68, 8.1, 3 1 5
1.599, 57.65, 17.7, 3 3 -1
1.594, 57.85, 8.8, 6 0 -2
1.347, 69.82, 13.2, 3 1 -10

Atomic structure:
Lattice parameters (Å, degrees): 9.5640 5.5442 14.2397 90.00 103.22 90.00
Space group C2/c (No. 15)
One atom of each set of equivalent atoms:
Sc 0.1138 0.0796 0.0921 (multiplicity 8)
Sc 0.2174 0.0865 0.4078 (multiplicity 8)
Nb 0.0578 0.4160 0.9237 (multiplicity 8)
Zn 0.0000 0.1394 0.7500 (multiplicity 4)
Zn 0.1390 0.4441 0.2495 (multiplicity 8)
N 0.0857 0.2425 0.4998 (multiplicity 8)
N 0.2500 0.2500 0.0000 (multiplicity 4)

=====

Entry 4:
Diffraction record for Nb4SnN3. The X-ray diffraction stick pattern is calculated, not measured: it uses a cell relaxed with GGA-PBE and λ = 1.5418 Å (Cu Kα).

Top 12 peaks for 5° ≤ 2θ ≤ 70°, in order of rising 2θ:
d [Å], 2theta, intensity, hkl
2.781, 32.19, 42.9, 1 0 1
2.725, 32.86, 7.1, 1 0 2
2.533, 35.44, 65.8, 1 0 4
2.413, 37.26, 100.0, 1 0 5
2.378, 37.83, 44.4, 0 0 10
2.287, 39.40, 92.4, 1 0 6
1.922, 47.30, 8.9, 1 0 9
1.711, 53.55, 24.2, 1 0 11
1.617, 56.96, 56.6, 1 1 0
1.452, 64.12, 13.0, 1 0 14
1.380, 67.95, 13.4, 1 0 15
1.363, 68.90, 9.9, 2 0 4

Atomic structure:
Lattice parameters (Å, degrees): 3.2332 3.2332 23.7803 90.00 90.00 120.00
Space group P6_3/mmc (No. 194)
One atom of each set of equivalent atoms:
Nb 0.0000 0.0000 0.1501 (multiplicity 4)
Nb 0.3333 0.6667 0.0553 (multiplicity 4)
Sn 0.3333 0.6667 0.2500 (multiplicity 2)
N 0.0000 0.0000 0.0000 (multiplicity 2)
N 0.3333 0.6667 0.6063 (multiplicity 4)

=====

Entry 5:
Diffraction record for Ta2Nb4Sn3N3. The X-ray diffraction stick pattern is calculated, not measured: it uses a cell relaxed with GGA-PBE and λ = 1.5418 Å (Cu Kα).

Top 12 peaks for 5° ≤ 2θ ≤ 70°, in order of rising 2θ:
d [Å], 2theta, intensity, hkl
6.806, 13.01, 1.7, 0 0 2
4.879, 18.18, 3.1, 1 1 0
4.779, 18.57, 2.2, 2 0 0
3.759, 23.67, 1.6, 1 1 2
3.541, 25.15, 2.2, 2 0 2
2.838, 31.53, 22.5, 3 1 -1
2.406, 37.38, 100.0, 0 2 3
2.269, 39.73, 18.3, 0 0 6
1.772, 51.58, 15.5, 3 1 -7
1.638, 56.14, 21.7, 6 0 -2
1.419, 65.83, 2.8, 0 4 0
1.354, 69.41, 16.3, 6 2 -5

Atomic structure:
Lattice parameters (Å, degrees): 9.8318 5.6737 13.9998 90.00 103.51 90.00
Space group C2/c (No. 15)
One atom of each set of equivalent atoms:
Ta 0.0615 0.0878 0.4207 (multiplicity 8)
Nb 0.1107 0.4256 0.5817 (multiplicity 8)
Nb 0.2183 0.4119 0.9183 (multiplicity 8)
Sn 0.0000 0.4148 0.2500 (multiplicity 4)
Sn 0.1653 0.0819 0.7492 (multiplicity 8)
N 0.0795 0.2383 0.0000 (multiplicity 8)
N 0.2500 0.2500 0.5000 (multiplicity 4)

=====

Entry 6:
Diffraction record for Nb4TlZnN2. The X-ray diffraction stick pattern is calculated, not measured: it uses a cell relaxed with GGA-PBE and λ = 1.5418 Å (Cu Kα).

Top 12 peaks for 5° ≤ 2θ ≤ 70°, in order of rising 2θ:
d [Å], 2theta, intensity, hkl
13.881, 6.37, 31.0, 0 0 1
4.627, 19.18, 5.2, 0 0 3
2.776, 32.24, 4.0, 0 0 5
2.763, 32.40, 24.6, 1 0 0
2.567, 34.95, 10.3, 1 0 2
2.372, 37.93, 100.0, 1 0 3
2.314, 38.93, 17.7, 0 0 6
1.774, 51.52, 16.1, 1 0 6
1.595, 57.80, 20.7, 1 1 0
1.469, 63.29, 4.6, 1 0 8
1.382, 67.79, 6.0, 2 0 0
1.347, 69.84, 13.7, 1 0 9

Atomic structure:
Lattice parameters (Å, degrees): 3.1905 3.1905 13.8814 90.00 90.00 120.00
Space group P-6m2 (No. 187)
One atom of each set of equivalent atoms:
Nb 0.0000 0.0000 0.1567 (multiplicity 2)
Nb 0.6667 0.3333 0.3228 (multiplicity 2)
Tl 0.0000 0.0000 0.5000 (multiplicity 1)
Zn 0.6667 0.3333 0.0000 (multiplicity 1)
N 0.3333 0.6667 0.2390 (multiplicity 2)

=====

Entry 7:
Diffraction record for Zr4Nb2Tl3N3. The X-ray diffraction stick pattern is calculated, not measured: it uses a cell relaxed with GGA-PBE and λ = 1.5418 Å (Cu Kα).

Top 12 peaks for 5° ≤ 2θ ≤ 70°, in order of rising 2θ:
d [Å], 2theta, intensity, hkl
7.340, 12.06, 13.4, 0 0 2
3.670, 24.25, 6.7, 0 0 4
2.854, 31.34, 21.6, 0 2 0
2.802, 31.94, 10.6, 3 1 0
2.660, 33.69, 4.6, 0 2 2
2.466, 36.44, 100.0, 3 1 2
2.447, 36.73, 20.2, 0 0 6
1.858, 49.04, 15.9, 0 2 6
1.648, 55.78, 20.2, 6 0 -2
1.416, 65.96, 17.1, 3 1 8
1.370, 68.48, 15.4, 0 4 3
1.367, 68.67, 19.2, 6 0 4

Atomic structure:
Lattice parameters (Å, degrees): 9.8827 5.7116 15.0464 90.00 102.65 90.00
Space group C2/c (No. 15)
One atom of each set of equivalent atoms:
Zr 0.1110 0.0858 0.0844 (multiplicity 8)
Zr 0.2233 0.0823 0.4156 (multiplicity 8)
Nb 0.0562 0.4185 0.9237 (multiplicity 8)
Tl 0.0000 0.0958 0.7500 (multiplicity 4)
Tl 0.1601 0.4248 0.2508 (multiplicity 8)
N 0.0853 0.2445 0.5000 (multiplicity 8)
N 0.2500 0.2500 0.0000 (multiplicity 4)

=====

Entry 8:
Diffraction record for Nb3Zn3N. The X-ray diffraction stick pattern is calculated, not measured: it uses a cell relaxed with GGA-PBE and λ = 1.5418 Å (Cu Kα).

Top 12 peaks for 5° ≤ 2θ ≤ 70°, in order of rising 2θ:
d [Å], 2theta, intensity, hkl
2.688, 33.33, 14.9, 3 3 1
2.392, 37.60, 40.4, 4 2 2
2.255, 39.98, 100.0, 3 3 3
2.072, 43.70, 18.4, 4 4 0
1.981, 45.81, 2.2, 5 3 1
1.953, 46.50, 7.9, 4 4 2
1.767, 51.75, 4.7, 6 2 2
1.691, 54.23, 3.6, 4 4 4
1.641, 56.04, 6.4, 7 1 1
1.432, 65.16, 4.7, 7 3 3
1.381, 67.87, 37.2, 6 6 0
1.353, 69.46, 8.0, 5 5 5

Atomic structure:
Lattice parameters (Å, degrees): 11.7185 11.7185 11.7185 90.00 90.00 90.00
Space group Fd-3m (No. 227, origin choice 2)
One atom of each set of equivalent atoms:
Nb 0.0568 0.3750 0.3750 (multiplicity 48)
Zn 0.0000 0.0000 0.5000 (multiplicity 16)
Zn 0.0424 0.0424 0.7076 (multiplicity 32)
N 0.0000 0.0000 0.0000 (multiplicity 16)

=====

Entry 9:
Diffraction record for NdN2. The X-ray diffraction stick pattern is calculated, not measured: it uses a cell relaxed with GGA-PBE and λ = 1.5418 Å (Cu Kα).

Top 12 peaks for 5° ≤ 2θ ≤ 70°, in order of rising 2θ:
d [Å], 2theta, intensity, hkl
6.706, 13.20, 17.8, 0 0 2
3.460, 25.75, 49.4, 1 1 1
3.353, 26.59, 29.6, 0 0 4
3.159, 28.25, 50.0, 1 1 2
3.117, 28.64, 48.4, 2 0 0
2.795, 32.02, 100.0, 1 1 3
2.283, 39.47, 34.2, 2 0 4
2.159, 41.84, 14.6, 0 2 1
1.775, 51.49, 24.3, 2 2 1
1.731, 52.91, 23.9, 3 1 3
1.689, 54.30, 22.2, 1 1 7
1.389, 67.41, 14.9, 1 3 2

Atomic structure:
Lattice parameters (Å, degrees): 6.2335 4.3752 13.4117 90.00 90.00 90.00
Space group Cmce (No. 64)
One atom of each set of equivalent atoms:
Nd 0.0000 0.0903 0.1439 (multiplicity 8)
N 0.0000 0.1060 0.4698 (multiplicity 8)
N 0.2500 0.1569 0.7500 (multiplicity 8)

=====

Entry 10:
Diffraction record for NdNp2N3. The X-ray diffraction stick pattern is calculated, not measured: it uses a cell relaxed with GGA-PBE and λ = 1.5418 Å (Cu Kα).

Top 12 peaks for 5° ≤ 2θ ≤ 70°, in order of rising 2θ:
d [Å], 2theta, intensity, hkl
8.580, 10.31, 9.4, 0 0 1
4.290, 20.70, 1.0, 0 0 2
3.026, 29.52, 2.0, 1 0 0
2.855, 31.33, 100.0, 0 0 3
2.473, 36.33, 67.1, 1 0 2
2.079, 43.54, 1.9, 1 0 3
1.749, 52.32, 46.1, 1 1 0
1.712, 53.53, 1.1, 1 1 1
1.492, 62.24, 34.8, 1 0 5
1.490, 62.31, 11.4, 2 0 1
1.430, 65.24, 3.8, 0 0 6
1.427, 65.40, 12.1, 0 2 2

Atomic structure:
Lattice parameters (Å, degrees): 3.4943 3.4943 8.5803 90.00 90.00 120.00
Space group P-3m1 (No. 164)
One atom of each set of equivalent atoms:
Nd 0.0000 0.0000 0.0000 (multiplicity 1)
Np 0.3333 0.6667 0.3377 (multiplicity 2)
N 0.0000 0.0000 0.5000 (multiplicity 1)
N 0.3333 0.6667 0.8083 (multiplicity 2)

=====

Entry 11:
Diffraction record for PmNdNO. The X-ray diffraction stick pattern is calculated, not measured: it uses a cell relaxed with GGA-PBE and λ = 1.5418 Å (Cu Kα).

Top 12 peaks for 5° ≤ 2θ ≤ 70°, in order of rising 2θ:
d [Å], 2theta, intensity, hkl
3.589, 24.81, 38.9, 2 1 0
3.510, 25.37, 23.2, 0 2 0
2.939, 30.41, 100.0, 2 1 1
2.896, 30.88, 43.4, 0 2 1
2.562, 35.03, 34.0, 0 0 2
2.086, 43.37, 35.4, 4 0 0
2.041, 44.38, 34.1, 2 3 0
1.693, 54.16, 18.9, 4 2 1
1.660, 55.33, 10.6, 0 4 1
1.618, 56.89, 16.2, 4 0 2
1.597, 57.75, 30.6, 2 3 2
1.542, 59.99, 15.4, 2 1 3

Atomic structure:
Lattice parameters (Å, degrees): 8.3510 7.0203 5.1237 90.00 90.00 90.00
Space group Pbcm (No. 57)
One atom of each set of equivalent atoms:
Pm 0.1225 0.0753 0.2500 (multiplicity 4)
Nd 0.3730 0.5833 0.2500 (multiplicity 4)
N 0.3720 0.5710 0.7500 (multiplicity 4)
O 0.1269 0.0935 0.7500 (multiplicity 4)